Structure and calculated X-ray diffraction stick pattern of Tl4HgO (the GGA-PBE geometry in Alexandria; CuKα).
Lines closer than 0.1° are merged.

Most intense lines, 2θ from 5° to 70°, in order of rising 2θ:
2θ (°)	Rel. int.
19.10	48
23.57	52
28.45	93
29.44	44
30.00	81
31.01	62
31.55	69
32.03	51
32.21	57
32.66	51
34.43	100
47.02	44

Structural model:
abc: 6.338 9.295 6.520
angles: 90.00 97.14 90.00
Fractional positions:
Tl1 0.048 0.250 0.323
Tl2 0.213 0.059 0.864
Tl3 0.213 0.441 0.864
Tl4 0.361 0.750 0.332
Tl5 0.639 0.250 0.668
Tl6 0.787 0.559 0.136
Tl7 0.787 0.941 0.136
Tl8 0.952 0.750 0.677
Hg1 0.471 0.750 0.815
Hg2 0.529 0.250 0.185
O1 0.013 0.250 0.683
O2 0.987 0.750 0.317